For LiCo4O8, a structure optimized by DFT (PBE+U) gives the computed X-ray powder pattern in this record (Cu Kα (λ = 1.5418 Å)).

Crystal structure
Lattice parameters (Å, degrees): 5.6319 5.6461 10.5005 76.25 74.50 60.13
Space group P-1 (No. 2)
Unique sites:
Li 0.2487 0.2477 0.2505 (multiplicity 2)
Co 0.0000 0.0000 0.0000 (multiplicity 1)
Co 0.0000 0.0000 0.5000 (multiplicity 1)
Co 0.0000 0.5000 0.0000 (multiplicity 1)
Co 0.0000 0.5000 0.5000 (multiplicity 1)
Co 0.5000 0.0000 0.0000 (multiplicity 1)
Co 0.5000 0.0000 0.5000 (multiplicity 1)
Co 0.5000 0.5000 0.0000 (multiplicity 1)
Co 0.5000 0.5000 0.5000 (multiplicity 1)
O 0.1291 0.1444 0.0965 (multiplicity 2)
O 0.1300 0.6451 0.5965 (multiplicity 2)
O 0.1315 0.6399 0.0974 (multiplicity 2)
O 0.1341 0.1385 0.5932 (multiplicity 2)
O 0.3665 0.3603 0.9063 (multiplicity 2)
O 0.3678 0.8608 0.4024 (multiplicity 2)
O 0.3703 0.3560 0.4034 (multiplicity 2)
O 0.3696 0.8556 0.9036 (multiplicity 2)

Most intense lines, 10 to 90 degrees two-theta, sorted by position:
(0 0 2), d = 5.020 Å, I = 100; (0 2 0), d = 2.429 Å, I = 8; (2 2 2), d = 2.402 Å, I = 18; (2 2 0), d = 2.334 Å, I = 5; (0 2 -2), d = 2.086 Å, I = 14; (2 2 4), d = 2.031 Å, I = 26; (0 2 -4), d = 1.645 Å, I = 5; (2 0 -4), d = 1.600 Å, I = 9; (2 0 6), d = 1.504 Å, I = 7; (2 4 2), d = 1.411 Å, I = 7